Diffraction record for PrTm3Sc7. The X-ray powder pattern is calculated, not measured: it uses DFT lattice parameters and positions (PBE) and Cu Kα, 1.54184 Å.
Peak positions follow from Bragg's law for the DFT cell and can differ from measured ones.

Top 6 peaks for 10 to 90 degrees two-theta, in order of falling intensity:
2theta	I (rel.)	hkl
25.01	100	2 2 -1
34.55	84	2 2 1
16.53	51	2 0 0
34.80	50	3 3 -1
32.92	46	2 0 -2
33.42	35	4 0 0

Atomic structure:
Unit cell a=12.0198 b=10.4826 c=5.4420 alpha=90.00 beta=116.83 gamma=90.00
Space group C2/m (No. 12)
Asymmetric unit:
Pr 0.0000 0.0000 0.0000
Tm 0.0000 0.2933 0.5000
Tm 0.0000 0.5000 0.0000
Sc 0.0000 0.0000 0.5000
Sc 0.2072 0.5000 0.7064
Sc 0.2173 0.3098 0.2171